For PrDyHo2, DFT lattice parameters and positions (PBE) gives the computed powder diffraction line list in this record (a wavelength of 1.5418 Å).
Lines closer than 0.1° are merged.

Crystal structure
Lattice parameters (Å, degrees): 3.541 5.462 13.492 90.00 90.00 90.00
Space group Pmmn (No. 59, origin choice 2)
Unique sites:
Pr  0.250  0.250  0.202 (multiplicity 2)
Dy  0.250  0.250  0.685 (multiplicity 2)
Ho  0.250  0.250  0.937 (multiplicity 2)
Ho  0.250  0.750  0.542 (multiplicity 2)

Principal peaks in the range 2θ = 10–90°, in order of rising 2θ:
| 2theta | I_rel | h k l |
| --- | --- | --- |
| 30.07 | 28 | 1 1 0 |
| 30.81 | 47 | 1 1 1 |
| 31.16 | 100 | 0 1 4 |
| 32.79 | 48 | 0 2 0 |
| 32.94 | 31 | 1 1 2 |
| 61.54 | 29 | 2 1 4 |



For SmSi7Os3, DFT lattice parameters and positions (PBE) gives the computed powder diffraction line list in this record (a wavelength of 1.5418 Å).
Lines closer than 0.1° are merged.

Crystal structure
Lattice parameters (Å, degrees): 7.6770 7.6770 20.1550 90.00 90.00 120.00
Space group R-3c (No. 167, hexagonal axes)
Unique sites:
Sm  0.0000  0.0000  0.0000 (multiplicity 6)
Si  0.0000  0.0000  0.2500 (multiplicity 6)
Si  0.0080  0.2001  0.1386 (multiplicity 36)
Os  0.0000  0.3280  0.2500 (multiplicity 18)

Principal peaks in the range 2θ = 10–90°, in order of rising 2θ:
| 2theta | I_rel | h k l |
| --- | --- | --- |
| 26.75 | 100 | 1 1 3 |
| 35.51 | 38 | 1 1 6 |
| 40.71 | 40 | 3 0 0 |
| 46.97 | 34 | 1 1 9 |
| 49.26 | 20 | 0 3 6 |
| 49.38 | 29 | 2 2 3 |



For Ho3S5, DFT lattice parameters and positions (PBE) gives the computed powder diffraction line list in this record (a wavelength of 1.5418 Å).
Lines closer than 0.1° are merged.

Crystal structure
Lattice parameters (Å, degrees): 8.3027 8.3027 5.4958 90.00 90.00 120.00
Space group P6_3/mcm (No. 193)
Unique sites:
Ho  0.0000  0.3638  0.2500 (multiplicity 6)
S  0.0000  0.2803  0.7500 (multiplicity 6)
S  0.3333  0.6667  0.0000 (multiplicity 4)

Principal peaks in the range 2θ = 10–90°, in order of rising 2θ:
| 2theta | I_rel | h k l |
| --- | --- | --- |
| 21.40 | 37 | 1 1 0 |
| 26.92 | 100 | 1 1 1 |
| 32.59 | 26 | 0 0 2 |
| 37.53 | 64 | 3 0 0 |
| 39.32 | 41 | 1 1 2 |
| 50.53 | 33 | 3 0 2 |



For Li13Cu2, DFT lattice parameters and positions (PBE) gives the computed powder diffraction line list in this record (a wavelength of 1.5418 Å).
Lines closer than 0.1° are merged.

Crystal structure
Lattice parameters (Å, degrees): 4.969 7.138 7.950 67.39 85.39 88.15
Space group P-1 (No. 2)
Unique sites:
Li  0.000  0.000  0.000 (multiplicity 1)
Li  0.140  0.228  0.251 (multiplicity 2)
Li  0.199  0.390  0.803 (multiplicity 2)
Li  0.253  0.521  0.407 (multiplicity 2)
Li  0.322  0.664  0.986 (multiplicity 2)
Li  0.360  0.822  0.572 (multiplicity 2)
Li  0.460  0.923  0.206 (multiplicity 2)
Cu  0.082  0.142  0.619 (multiplicity 2)

Principal peaks in the range 2θ = 10–90°, in order of rising 2θ:
| 2theta | I_rel | h k l |
| --- | --- | --- |
| 12.09 | 100 | 0 0 1 |
| 13.44 | 59 | 0 1 0 |
| 17.91 | 57 | 1 0 0 |
| 21.32 | 49 | 0 1 -1 |
| 22.44 | 81 | 1 0 -1 |
| 37.99 | 52 | 1 1 -2 |



For Cu2Ag5Pd4, DFT lattice parameters and positions (PBE) gives the computed powder diffraction line list in this record (a wavelength of 1.5418 Å).
Lines closer than 0.1° are merged.

Crystal structure
Lattice parameters (Å, degrees): 2.770 7.551 18.486 90.00 90.00 90.00
Space group Immm (No. 71)
Unique sites:
Cu  0.000  0.000  0.234 (multiplicity 4)
Ag  0.000  0.193  0.351 (multiplicity 8)
Ag  0.000  0.500  0.000 (multiplicity 2)
Pd  0.000  0.000  0.101 (multiplicity 4)
Pd  0.000  0.311  0.500 (multiplicity 4)

Principal peaks in the range 2θ = 10–90°, in order of rising 2θ:
| 2theta | I_rel | h k l |
| --- | --- | --- |
| 35.87 | 30 | 1 1 2 |
| 37.68 | 48 | 0 2 6 |
| 38.64 | 80 | 0 3 3 |
| 39.77 | 32 | 1 1 4 |
| 40.69 | 100 | 1 2 1 |
| 47.57 | 33 | 1 0 7 |



For Pr2Tl5I12, DFT lattice parameters and positions (PBE) gives the computed powder diffraction line list in this record (a wavelength of 1.5418 Å).
Lines closer than 0.1° are merged.

Crystal structure
Lattice parameters (Å, degrees): 19.146 9.126 11.180 90.00 109.74 90.00
Space group C2/m (No. 12)
Unique sites:
Pr  0.000  0.246  0.000 (multiplicity 4)
Tl  0.000  0.500  0.500 (multiplicity 2)
Tl  0.184  0.000  0.816 (multiplicity 4)
Tl  0.222  0.000  0.373 (multiplicity 4)
I  0.001  0.500  0.807 (multiplicity 4)
I  0.007  0.000  0.206 (multiplicity 4)
I  0.130  0.254  0.559 (multiplicity 8)
I  0.171  0.233  0.094 (multiplicity 8)

Principal peaks in the range 2θ = 10–90°, in order of rising 2θ:
| 2theta | I_rel | h k l |
| --- | --- | --- |
| 17.68 | 81 | 3 1 0 |
| 18.63 | 100 | 1 1 -2 |
| 25.54 | 78 | 2 2 -2 |
| 25.85 | 88 | 0 2 2 |
| 27.83 | 84 | 4 2 0 |
| 29.74 | 78 | 6 0 0 |